Simulated powder diffraction line list
Compound: Rb2VP2O8
Radiation: CuKα
Structure: the PBE+U geometry in Alexandria
Neutral-atom scattering factors, no anomalous dispersion.

Structure:
a b c (Å): 7.195 9.227 13.316
angles (deg): 90.00 90.00 90.00
Space group P2_12_12_1 (No. 19)
Asymmetric unit:
Rb  0.230  0.169  0.412 [4 per cell]
Rb  0.234  0.612  0.589 [4 per cell]
V  0.245  0.246  0.806 [4 per cell]
P  0.011  0.030  0.652 [4 per cell]
P  0.086  0.007  0.165 [4 per cell]
O  0.015  0.652  0.317 [4 per cell]
O  0.028  0.920  0.075 [4 per cell]
O  0.051  0.559  0.954 [4 per cell]
O  0.058  0.173  0.709 [4 per cell]
O  0.091  0.922  0.266 [4 per cell]
O  0.126  0.442  0.782 [4 per cell]
O  0.171  0.198  0.918 [4 per cell]
O  0.200  0.933  0.651 [4 per cell]

Main lines, low angle first (10 to 90 degrees two-theta):
2θ 23.87, d = 3.728 Å, I 69, hkl 1 2 1
2θ 25.48, d = 3.496 Å, I 100, hkl 1 1 3
2θ 26.57, d = 3.355 Å, I 51, hkl 1 2 2
2θ 28.50, d = 3.132 Å, I 30, hkl 0 1 4
2θ 29.84, d = 2.994 Å, I 67, hkl 2 1 2
2θ 31.54, d = 2.837 Å, I 20, hkl 2 2 0
2θ 32.05, d = 2.792 Å, I 35, hkl 0 3 2
2θ 41.12, d = 2.195 Å, I 29, hkl 1 2 5